Computed powder diffractogram of PmHo2Er2 for Cu Kα (weighted mean of Kα1 and Kα2), from a GGA-PBE-relaxed structure.
Neutral-atom scattering factors, no anomalous dispersion.

Atomic structure:
```
data_PmHo2Er2
_chemical_formula_sum 'Pm2 Ho4 Er4'
_cell_length_a 9.3233
_cell_length_b 9.3233
_cell_length_c 3.6908
_cell_angle_alpha 90.00
_cell_angle_beta 90.00
_cell_angle_gamma 90.00
_space_group_name_H-M_alt 'P 4/m b m'
_space_group_IT_number 127
_space_group_name_Hall '-P 4 2ab'
loop_
_atom_site_label
_atom_site_fract_x
_atom_site_fract_y
_atom_site_fract_z
_atom_site_occupancy
Pm1 0.0000 0.0000 0.0000 1
Ho1 0.1252 0.3748 0.0000 1
Er1 0.1716 0.6716 0.5000 1
```

Main lines, by angle (10 to 90 degrees two-theta):
- 30.3 deg, 2.948 Å, I 58, hkl 3 1 0
- 30.9 deg, 2.894 Å, I 27, hkl 2 0 1
- 32.4 deg, 2.764 Å, I 100, hkl 2 1 1
- 34.7 deg, 2.586 Å, I 12, hkl 3 2 0
- 47.1 deg, 1.928 Å, I 12, hkl 4 1 1
- 56.1 deg, 1.638 Å, I 16, hkl 5 1 1
- 58.9 deg, 1.567 Å, I 16, hkl 5 2 1
- 59.1 deg, 1.564 Å, I 18, hkl 3 1 2